Record 1
Starting from a structure optimized by DFT (PBE), the XRD peak list of In3Te4 was simulated for copper Kα.
Peak positions follow from Bragg's law for the DFT cell and can differ from measured ones.

Cell and atoms:
a = 7.954 Å, b = 7.954 Å, c = 7.476 Å
α = 110.82°, β = 110.82°, γ = 31.68°
Atoms (fractional coordinates):
1 In 0.000 0.000 0.000
2 In 0.272 0.272 0.299
3 In 0.728 0.728 0.701
4 Te 0.117 0.117 0.452
5 Te 0.361 0.361 0.005
6 Te 0.639 0.639 0.995
7 Te 0.883 0.883 0.548

Top 12 peaks for 15° ≤ 2θ ≤ 90°, low angle first:
25.65°, rel. 32; 26.16°, rel. 100; 27.61°, rel. 34; 27.86°, rel. 28; 28.53°, rel. 55; 33.62°, rel. 76; 35.44°, rel. 24; 35.92°, rel. 61; 37.20°, rel. 26; 41.60°, rel. 44; 42.07°, rel. 75; 51.22°, rel. 21



Record 2
Starting from a structure optimized by DFT (PBE), the XRD peak list of InTe was simulated for copper Kα.
Peak positions follow from Bragg's law for the DFT cell and can differ from measured ones.

Cell and atoms:
a = 4.469 Å, b = 4.469 Å, c = 20.186 Å
α = 90.00°, β = 90.00°, γ = 120.00°
Atoms (fractional coordinates):
1 In 0.000 0.000 0.000
2 In 0.000 0.000 0.500
3 In 0.333 0.667 0.220
4 In 0.667 0.333 0.720
5 Te 0.000 0.000 0.286
6 Te 0.000 0.000 0.786
7 Te 0.333 0.667 0.083
8 Te 0.667 0.333 0.583

Top 12 peaks for 15° ≤ 2θ ≤ 90°, low angle first:
17.57°, rel. 58; 22.98°, rel. 21; 23.40°, rel. 100; 24.63°, rel. 43; 29.07°, rel. 64; 35.35°, rel. 60; 38.95°, rel. 31; 40.36°, rel. 76; 42.78°, rel. 37; 44.33°, rel. 32; 61.95°, rel. 17; 79.04°, rel. 20



Record 3
Starting from a structure optimized by DFT (PBE), the XRD peak list of In2Te3 was simulated for copper Kα.
Peak positions follow from Bragg's law for the DFT cell and can differ from measured ones.

Cell and atoms:
a = 9.590 Å, b = 9.590 Å, c = 9.590 Å
α = 97.84°, β = 97.84°, γ = 136.66°
Atoms (fractional coordinates):
1 In 0.000 0.185 0.185
2 In 0.000 0.815 0.815
3 In 0.185 0.000 0.185
4 In 0.394 0.894 0.500
5 In 0.815 0.000 0.815
6 In 0.894 0.394 0.500
7 Te 0.105 0.105 0.658
8 Te 0.105 0.447 0.000
9 Te 0.342 0.657 0.685
10 Te 0.357 0.357 0.000
11 Te 0.447 0.105 0.000
12 Te 0.447 0.447 0.342
13 Te 0.657 0.342 0.685
14 Te 0.657 0.972 0.315
15 Te 0.972 0.657 0.315

Top 12 peaks for 15° ≤ 2θ ≤ 90°, low angle first:
20.13°, rel. 18; 22.31°, rel. 21; 24.64°, rel. 100; 28.32°, rel. 19; 28.47°, rel. 77; 32.29°, rel. 43; 37.89°, rel. 32; 38.81°, rel. 23; 39.60°, rel. 62; 40.93°, rel. 25; 43.06°, rel. 47; 50.24°, rel. 25